Entry 1:
The following is a calculated X-ray powder pattern of Y12ThSc2. It was derived from a DFT-relaxed cell (PBE, Alexandria), using Cu Ka.

The 10 most intense peaks (10° ≤ 2θ ≤ 80°), in order of rising 2θ:
(2 0 0), 26.26 deg, 3.393 Å, rel. 30
(0 2 7), 29.30 deg, 3.048 Å, rel. 54
(0 0 9), 31.22 deg, 2.865 Å, rel. 36
(2 2 1), 31.43 deg, 2.847 Å, rel. 30
(2 2 -2), 31.57 deg, 2.834 Å, rel. 52
(2 2 2), 32.16 deg, 2.784 Å, rel. 25
(2 0 5), 32.30 deg, 2.772 Å, rel. 100
(2 0 -6), 32.82 deg, 2.729 Å, rel. 40
(0 4 0), 33.02 deg, 2.713 Å, rel. 36
(0 4 1), 33.21 deg, 2.698 Å, rel. 25

Lattice parameters (Å, degrees): 6.7956 10.8520 25.8170 90.00 92.81 90.00
Space group C2/m (No. 12)
Unique sites:
1 Y 0.0133 0.2490 0.0708 [8 per cell]
2 Y 0.1472 0.1694 0.4466 [8 per cell]
3 Y 0.1559 0.5000 0.4450 [4 per cell]
4 Y 0.1864 0.1755 0.6664 [8 per cell]
5 Y 0.1992 0.5000 0.6538 [4 per cell]
6 Y 0.2109 0.2616 0.7971 [8 per cell]
7 Y 0.2259 0.5000 0.8725 [4 per cell]
8 Y 0.2274 0.0000 0.8669 [4 per cell]
9 Th 0.2484 0.5000 0.0016 [4 per cell]
10 Sc 0.0341 0.0000 0.2418 [4 per cell]
11 Sc 0.0562 0.5000 0.2449 [4 per cell]

***

Entry 2:
The following is a calculated X-ray powder pattern of YTh2Sc7. It was derived from a DFT-relaxed cell (PBE, Alexandria), using Cu Ka.

The 10 most intense peaks (10° ≤ 2θ ≤ 80°), in order of rising 2θ:
(1 3 0), 17.44 deg, 5.085 Å, rel. 35
(1 5 0), 21.85 deg, 4.068 Å, rel. 65
(0 0 1), 27.22 deg, 3.276 Å, rel. 45
(2 4 0), 31.96 deg, 2.800 Å, rel. 29
(1 3 1), 32.52 deg, 2.753 Å, rel. 100
(0 10 0), 33.03 deg, 2.712 Å, rel. 56
(1 5 1), 35.18 deg, 2.551 Å, rel. 39
(2 6 0), 35.30 deg, 2.542 Å, rel. 27
(1 7 1), 38.87 deg, 2.317 Å, rel. 55
(2 2 1), 40.80 deg, 2.212 Å, rel. 26

Lattice parameters (Å, degrees): 6.1495 27.1221 3.2749 90.00 90.00 90.00
Space group Cmmm (No. 65)
Unique sites:
1 Y 0.0000 0.0000 0.0000 [2 per cell]
2 Th 0.0000 0.2000 0.5000 [4 per cell]
3 Sc 0.0000 0.3088 0.0000 [4 per cell]
4 Sc 0.0000 0.5000 0.5000 [2 per cell]
5 Sc 0.2476 0.3997 0.5000 [8 per cell]

***

Entry 3:
The following is a calculated X-ray powder pattern of Y10ThSc4. It was derived from a DFT-relaxed cell (PBE, Alexandria), using Cu Ka.

The 10 most intense peaks (10° ≤ 2θ ≤ 80°), in order of rising 2θ:
(2 1 1), 21.05 deg, 4.221 Å, rel. 46
(3 1 0), 22.90 deg, 3.884 Å, rel. 67
(1 1 2), 28.96 deg, 3.083 Å, rel. 65
(3 2 1), 29.51 deg, 3.027 Å, rel. 38
(2 4 0), 32.60 deg, 2.747 Å, rel. 100
(4 1 1), 32.99 deg, 2.715 Å, rel. 24
(1 3 2), 35.71 deg, 2.514 Å, rel. 77
(3 3 2), 41.51 deg, 2.176 Å, rel. 26
(6 2 0), 46.72 deg, 1.944 Å, rel. 68
(2 4 4), 66.09 deg, 1.414 Å, rel. 24

Lattice parameters (Å, degrees): 12.2828 12.2828 6.5966 90.00 90.00 90.00
Space group I4/m (No. 87)
Unique sites:
1 Y 0.0000 0.5000 0.2500 [4 per cell]
2 Y 0.1210 0.7219 0.2428 [16 per cell]
3 Th 0.0000 0.0000 0.0000 [2 per cell]
4 Sc 0.0675 0.1722 0.5000 [8 per cell]

***

Entry 4:
The following is a calculated X-ray powder pattern of Y3ThSc. It was derived from a DFT-relaxed cell (PBE, Alexandria), using Cu Ka.

The 10 most intense peaks (10° ≤ 2θ ≤ 80°), in order of rising 2θ:
(1 0 1), 15.64 deg, 5.667 Å, rel. 41
(0 0 6), 21.98 deg, 4.043 Å, rel. 40
(1 1 3), 28.74 deg, 3.107 Å, rel. 36
(1 0 7), 30.00 deg, 2.979 Å, rel. 54
(0 2 1), 30.91 deg, 2.893 Å, rel. 100
(0 1 8), 33.30 deg, 2.690 Å, rel. 53
(0 2 4), 34.14 deg, 2.627 Å, rel. 53
(2 0 5), 35.95 deg, 2.498 Å, rel. 73
(1 2 8), 51.26 deg, 1.782 Å, rel. 32
(2 2 0), 54.55 deg, 1.682 Å, rel. 38

Lattice parameters (Å, degrees): 6.7295 6.7295 24.2585 90.00 90.00 120.00
Space group R-3m (No. 166, hexagonal axes)
Unique sites:
1 Y 0.0071 0.5035 0.3880 [18 per cell]
2 Th 0.0000 0.0000 0.4303 [6 per cell]
3 Sc 0.0000 0.0000 0.1664 [6 per cell]

***

Entry 5:
The following is a calculated X-ray powder pattern of Y2Th5Sc5. It was derived from a DFT-relaxed cell (PBE, Alexandria), using Cu Ka.

The 10 most intense peaks (10° ≤ 2θ ≤ 80°), in order of rising 2θ:
(1 1 0), 19.54 deg, 4.543 Å, rel. 13
(3 1 1), 31.78 deg, 2.816 Å, rel. 100
(0 0 4), 36.65 deg, 2.452 Å, rel. 17
(6 0 -2), 36.79 deg, 2.443 Å, rel. 17
(0 2 0), 37.13 deg, 2.422 Å, rel. 16
(0 2 4), 53.16 deg, 1.723 Å, rel. 12
(6 2 -2), 53.27 deg, 1.720 Å, rel. 12
(3 1 5), 63.05 deg, 1.474 Å, rel. 14
(9 1 -1), 63.21 deg, 1.471 Å, rel. 7
(3 3 1), 63.60 deg, 1.463 Å, rel. 15

Lattice parameters (Å, degrees): 14.6564 4.8432 10.9708 90.00 116.62 90.00
Space group C2/m (No. 12)
Unique sites:
1 Y 0.0814 0.0000 0.2524 [4 per cell]
2 Th 0.0000 0.0000 0.5000 [2 per cell]
3 Th 0.1667 0.0000 0.0006 [4 per cell]
4 Th 0.2487 0.0000 0.7479 [4 per cell]
5 Sc 0.0000 0.5000 0.0000 [2 per cell]
6 Sc 0.0845 0.5000 0.7461 [4 per cell]
7 Sc 0.1675 0.5000 0.5035 [4 per cell]

***

Entry 6:
The following is a calculated X-ray powder pattern of Y3Th2Sc2. It was derived from a DFT-relaxed cell (PBE, Alexandria), using Cu Ka.

The 10 most intense peaks (10° ≤ 2θ ≤ 80°), in order of rising 2θ:
(0 1 -1), 12.30 deg, 7.197 Å, rel. 63
(1 0 1), 30.41 deg, 2.939 Å, rel. 34
(1 -2 1), 30.84 deg, 2.900 Å, rel. 45
(0 1 2), 31.92 deg, 2.804 Å, rel. 49
(0 2 -3), 32.14 deg, 2.785 Å, rel. 100
(0 3 -1), 33.72 deg, 2.658 Å, rel. 89
(1 -1 3), 42.49 deg, 2.127 Å, rel. 18
(1 3 -3), 49.49 deg, 1.842 Å, rel. 18
(1 2 2), 55.94 deg, 1.644 Å, rel. 18
(0 4 1), 59.04 deg, 1.565 Å, rel. 18

Lattice parameters (Å, degrees): 3.4511 8.3075 8.6013 118.43 90.02 101.96
Space group P-1 (No. 2)
Unique sites:
1 Y 0.0000 0.0000 0.0000 [1 per cell]
2 Y 0.0708 0.1418 0.4237 [2 per cell]
3 Th 0.3488 0.6987 0.1565 [2 per cell]
4 Sc 0.2917 0.5831 0.7047 [2 per cell]

***

Entry 7:
The following is a calculated X-ray powder pattern of YTh6Sc2. It was derived from a DFT-relaxed cell (PBE, Alexandria), using Cu Ka.

The 10 most intense peaks (10° ≤ 2θ ≤ 80°), in order of rising 2θ:
(0 0 1), 12.18 deg, 7.264 Å, rel. 53
(1 1 -1), 16.21 deg, 5.468 Å, rel. 53
(0 2 1), 28.45 deg, 3.138 Å, rel. 23
(2 0 -3), 29.71 deg, 3.007 Å, rel. 33
(2 2 0), 32.11 deg, 2.788 Å, rel. 34
(4 0 -1), 32.59 deg, 2.748 Å, rel. 47
(2 2 -2), 32.75 deg, 2.734 Å, rel. 100
(0 0 3), 37.13 deg, 2.421 Å, rel. 27
(2 2 1), 38.51 deg, 2.338 Å, rel. 57
(4 2 -5), 57.29 deg, 1.608 Å, rel. 26

Lattice parameters (Å, degrees): 11.6328 6.9579 9.0659 90.00 126.75 90.00
Space group C2/m (No. 12)
Unique sites:
1 Y 0.0000 0.0000 0.0000 [2 per cell]
2 Th 0.0721 0.2385 0.3468 [8 per cell]
3 Th 0.1745 0.5000 0.7115 [4 per cell]
4 Sc 0.1987 0.5000 0.1222 [4 per cell]

***

Entry 8:
The following is a calculated X-ray powder pattern of YThSc. It was derived from a DFT-relaxed cell (PBE, Alexandria), using Cu Ka.

The 10 most intense peaks (10° ≤ 2θ ≤ 80°), in order of rising 2θ:
(0 0 1), 13.17 deg, 6.724 Å, rel. 36
(1 1 0), 18.49 deg, 4.797 Å, rel. 37
(0 0 2), 26.51 deg, 3.362 Å, rel. 31
(2 0 0), 32.32 deg, 2.770 Å, rel. 100
(1 1 2), 32.52 deg, 2.753 Å, rel. 62
(2 0 1), 35.04 deg, 2.561 Å, rel. 23
(2 0 2), 42.28 deg, 2.138 Å, rel. 55
(0 4 2), 46.51 deg, 1.953 Å, rel. 23
(2 4 2), 57.77 deg, 1.596 Å, rel. 24
(2 0 4), 64.88 deg, 1.437 Å, rel. 27

Lattice parameters (Å, degrees): 5.5382 9.5971 6.7242 90.00 90.00 90.00
Space group Pbam (No. 55)
Unique sites:
1 Y 0.0039 0.1666 0.0000 [4 per cell]
2 Th 0.0006 0.8334 0.5000 [4 per cell]
3 Sc 0.0000 0.5000 0.2581 [4 per cell]

***

Entry 9:
The following is a calculated X-ray powder pattern of YTh14Sc. It was derived from a DFT-relaxed cell (PBE, Alexandria), using Cu Ka.

The 10 most intense peaks (10° ≤ 2θ ≤ 80°), in order of rising 2θ:
(0 0 4), 28.85 deg, 3.095 Å, rel. 13
(1 0 4), 29.90 deg, 2.989 Å, rel. 33
(4 0 0), 31.03 deg, 2.882 Å, rel. 32
(2 2 2), 32.85 deg, 2.726 Å, rel. 100
(3 0 4), 37.31 deg, 2.410 Å, rel. 18
(4 0 4), 42.88 deg, 2.109 Å, rel. 9
(0 4 0), 51.12 deg, 1.787 Å, rel. 24
(6 2 2), 56.37 deg, 1.632 Å, rel. 22
(4 4 0), 61.02 deg, 1.519 Å, rel. 29
(2 0 8), 62.11 deg, 1.494 Å, rel. 17

Lattice parameters (Å, degrees): 11.5274 7.1465 12.3785 90.00 90.00 90.00
Space group Amm2 (No. 38)
Unique sites:
1 Y 0.0000 0.0000 0.0000 [2 per cell]
2 Th 0.0000 0.2483 0.2453 [4 per cell]
3 Th 0.2482 0.0000 0.6634 [4 per cell]
4 Th 0.2479 0.2485 0.4148 [8 per cell]
5 Th 0.2517 0.0000 0.1644 [4 per cell]
6 Th 0.5000 0.0000 0.3323 [2 per cell]
7 Th 0.5000 0.0000 0.8319 [2 per cell]
8 Th 0.5000 0.2493 0.5816 [4 per cell]
9 Sc 0.0000 0.0000 0.5000 [2 per cell]

***

Entry 10:
The following is a calculated X-ray powder pattern of Y8Th4Sc. It was derived from a DFT-relaxed cell (PBE, Alexandria), using Cu Ka.

The 10 most intense peaks (10° ≤ 2θ ≤ 80°), in order of rising 2θ:
(0 2 1), 28.15 deg, 3.171 Å, rel. 49
(0 0 9), 30.26 deg, 2.954 Å, rel. 36
(0 2 4), 31.07 deg, 2.878 Å, rel. 100
(2 0 5), 32.71 deg, 2.737 Å, rel. 63
(2 0 8), 39.12 deg, 2.302 Å, rel. 35
(2 2 0), 49.43 deg, 1.844 Å, rel. 30
(0 2 13), 53.19 deg, 1.722 Å, rel. 21
(2 0 14), 56.38 deg, 1.632 Å, rel. 11
(2 2 9), 59.07 deg, 1.564 Å, rel. 30
(4 0 4), 59.55 deg, 1.552 Å, rel. 15

Lattice parameters (Å, degrees): 7.3747 7.3747 26.5829 90.00 90.00 120.00
Space group R-3m (No. 166, hexagonal axes)
Unique sites:
1 Y 0.0000 0.0000 0.2203 [6 per cell]
2 Y 0.0335 0.5167 0.7701 [18 per cell]
3 Th 0.0000 0.0000 0.0000 [3 per cell]
4 Th 0.0000 0.5000 0.0000 [9 per cell]
5 Sc 0.0000 0.0000 0.5000 [3 per cell]

***

Entry 11:
The following is a calculated X-ray powder pattern of YTh2Sc4. It was derived from a DFT-relaxed cell (PBE, Alexandria), using Cu Ka.

The 10 most intense peaks (10° ≤ 2θ ≤ 80°), in order of rising 2θ:
(1 2 0), 11.65 deg, 7.594 Å, rel. 55
(1 3 0), 14.98 deg, 5.914 Å, rel. 39
(1 4 0), 18.69 deg, 4.748 Å, rel. 34
(1 1 1), 27.92 deg, 3.196 Å, rel. 25
(0 4 1), 31.39 deg, 2.850 Å, rel. 61
(4 0 0), 32.70 deg, 2.739 Å, rel. 56
(2 3 1), 33.64 deg, 2.664 Å, rel. 100
(2 7 0), 33.98 deg, 2.638 Å, rel. 92
(4 4 1), 45.99 deg, 1.974 Å, rel. 24
(2 7 2), 65.53 deg, 1.424 Å, rel. 28

Lattice parameters (Å, degrees): 10.9545 21.0760 3.3843 90.00 90.00 90.00
Space group Pbam (No. 55)
Unique sites:
1 Y 0.1248 0.1759 0.0000 [4 per cell]
2 Th 0.1148 0.8925 0.5000 [4 per cell]
3 Th 0.1182 0.4508 0.0000 [4 per cell]
4 Sc 0.1203 0.3124 0.5000 [4 per cell]
5 Sc 0.1239 0.7459 0.0000 [4 per cell]
6 Sc 0.1300 0.0294 0.0000 [4 per cell]
7 Sc 0.1425 0.6025 0.5000 [4 per cell]

***

Entry 12:
The following is a calculated X-ray powder pattern of Y14ThSc. It was derived from a DFT-relaxed cell (PBE, Alexandria), using Cu Ka.

The 10 most intense peaks (10° ≤ 2θ ≤ 80°), in order of rising 2θ:
(1 1 1), 15.58 deg, 5.687 Å, rel. 8
(2 1 3), 30.75 deg, 2.908 Å, rel. 22
(2 2 2), 31.46 deg, 2.844 Å, rel. 100
(0 0 4), 31.72 deg, 2.821 Å, rel. 19
(4 0 0), 32.37 deg, 2.766 Å, rel. 29
(0 3 1), 33.76 deg, 2.655 Å, rel. 9
(4 0 4), 45.96 deg, 1.975 Å, rel. 13
(0 3 5), 52.61 deg, 1.740 Å, rel. 9
(6 2 2), 57.17 deg, 1.611 Å, rel. 17
(4 3 5), 63.14 deg, 1.473 Å, rel. 9

Lattice parameters (Å, degrees): 11.0626 8.1943 11.2830 90.00 90.00 90.00
Space group Amm2 (No. 38)
Unique sites:
1 Y 0.0000 0.0000 0.0000 [2 per cell]
2 Y 0.0000 0.0000 0.4472 [2 per cell]
3 Y 0.0000 0.2120 0.7229 [4 per cell]
4 Y 0.2505 0.0000 0.8005 [4 per cell]
5 Y 0.2570 0.0000 0.2431 [4 per cell]
6 Y 0.2570 0.2105 0.5220 [8 per cell]
7 Y 0.5000 0.2131 0.7325 [4 per cell]
8 Th 0.5000 0.0000 0.0158 [2 per cell]
9 Sc 0.5000 0.0000 0.4550 [2 per cell]